Starting from a structure optimized by DFT (PBE), the X-ray powder pattern of Ac2Nd2Tm was calculated for Cu Kα X-rays.

Cell and atoms:
```
data_Ac2Nd2Tm
_space_group_name_H-M_alt 'P 1'
_space_group_IT_number 1
_space_group_name_Hall 'P 1'
_cell_length_a 6.6697
_cell_length_b 6.6697
_cell_length_c 10.9326
_cell_angle_alpha 114.18
_cell_angle_beta 114.18
_cell_angle_gamma 65.14
loop_
_atom_site_label
_atom_site_fract_x
_atom_site_fract_y
_atom_site_fract_z
Ac1 0.1989 0.2010 0.3499
Ac2 0.2010 0.1989 0.8499
Ac3 0.7990 0.8011 0.1501
Ac4 0.8011 0.7990 0.6501
Nd1 0.2243 0.7746 0.0000
Nd2 0.2254 0.7757 0.5000
Nd3 0.7746 0.2243 0.5000
Nd4 0.7757 0.2254 0.0000
Tm1 0.4998 0.5002 0.2500
Tm2 0.5002 0.4998 0.7500
```

Principal peaks in the range 10 to 90 degrees two-theta, low angle first:
2θ (°), I/Imax
27.39, 100
29.99, 28
30.85, 24
31.16, 75
31.86, 24
32.77, 39
45.01, 19
45.62, 17
55.94, 34
58.49, 16